Starting from a structure optimized by DFT (PBE), the powder XRD pattern of Er2Ga9Ru3 was calculated for Cu Kα (λ = 1.5418 Å).
No peak broadening, texture or thermal motion is included.

Principal peaks in the range 10° ≤ 2θ ≤ 90°, sorted by position:
30.2°, I 178
36.7°, I 467
36.8°, I 1000
37.1°, I 293
37.9°, I 176
41.4°, I 142
41.7°, I 791
42.0°, I 382
57.0°, I 356
72.7°, I 165
72.9°, I 180
73.3°, I 167

Cell lengths 7.4706, 7.4706, 9.6942 Å; angles 90.00, 90.00, 60.48 degrees
Fractional positions:
Er 0.0031 0.6691 0.7500
Er 0.3309 0.9969 0.7500
Er 0.6691 0.0031 0.2500
Er 0.9969 0.3309 0.2500
Ga 0.0047 0.6648 0.0761
Ga 0.0047 0.6648 0.4239
Ga 0.1252 0.8748 0.2500
Ga 0.3352 0.9953 0.0761
Ga 0.3352 0.9953 0.4239
Ga 0.3366 0.4521 0.2500
Ga 0.3366 0.6634 0.5604
Ga 0.3366 0.6634 0.9396
Ga 0.4521 0.3366 0.7500
Ga 0.5479 0.6634 0.2500
Ga 0.6634 0.3366 0.0604
Ga 0.6634 0.3366 0.4396
Ga 0.6634 0.5479 0.7500
Ga 0.6648 0.0047 0.5761
Ga 0.6648 0.0047 0.9239
Ga 0.8748 0.1252 0.7500
Ga 0.9953 0.3352 0.5761
Ga 0.9953 0.3352 0.9239
Ru 0.0000 0.0000 0.0000
Ru 0.0000 0.0000 0.5000
Ru 0.3259 0.3259 0.0000
Ru 0.3259 0.3259 0.5000
Ru 0.6741 0.6741 0.0000
Ru 0.6741 0.6741 0.5000